The following is a simulated powder diffraction line list of AgS3F2. It was derived from a PBE-relaxed structure, using a wavelength of 1.5418 Å.

Structure:
```
data_AgS3F2
_cell_length_a 8.831
_cell_length_b 8.831
_cell_length_c 4.719
_cell_angle_alpha 91.78
_cell_angle_beta 91.78
_cell_angle_gamma 134.40
_symmetry_space_group_name_H-M 'P 1'
_symmetry_Int_Tables_number 1
_symmetry_space_group_name_Hall 'P 1'
loop_
_atom_site_label
_atom_site_fract_x
_atom_site_fract_y
_atom_site_fract_z
Ag1 0.228 0.772 0.750
Ag2 0.772 0.228 0.250
S1 0.158 0.472 0.004
S2 0.418 0.582 0.250
S3 0.472 0.158 0.504
S4 0.528 0.842 0.496
S5 0.582 0.418 0.750
S6 0.842 0.528 0.996
F1 0.029 0.331 0.637
F2 0.331 0.029 0.137
F3 0.669 0.971 0.863
F4 0.971 0.669 0.363
```

Largest 12 diffraction maxima, low angle first, 10 to 90 degrees two-theta:
Position (°2θ), Rel. int.
10.9, 100
24.5, 25
27.6, 29
29.0, 22
33.1, 17
34.3, 13
35.5, 10
38.3, 12
42.6, 12
45.0, 11
46.0, 10
48.8, 19